This entry pairs a crystal structure of CdNiP with its theoretical X-ray diffraction stick pattern. Radiation: Cu Kα, 1.54184 Å. Structure: a PBE-relaxed structure.

Structure:
Cell lengths 6.019, 6.019, 6.019 Å; angles 90.00, 90.00, 90.00 degrees
Space group F-43m (No. 216)
Unique sites:
Cd  0.000  0.000  0.000 (multiplicity 4)
Ni  0.250  0.250  0.250 (multiplicity 4)
P  0.250  0.250  0.750 (multiplicity 4)

Main lines, sorted by position (2θ = 5–70°):
d (Å)  intensity
3.475  85
3.009  1
2.128  100
1.815  39
1.505  16
1.381  15